For BaAlCuWO5, a DFT-relaxed cell (GGA+U, Alexandria) gives the theoretical powder X-ray diffraction pattern in this record (Cu Kα (weighted mean of Kα1 and Kα2)).

Principal peaks in the range 10° ≤ 2θ ≤ 90°, in order of rising 2θ:
2θ 24.3, intensity 100, hkl 0 1 1; 2θ 25.1, intensity 75, hkl 1 0 1; 2θ 27.6, intensity 44, hkl 0 0 3; 2θ 29.1, intensity 47, hkl 0 1 2; 2θ 29.8, intensity 60, hkl 1 0 2; 2θ 32.6, intensity 97, hkl 1 1 0; 2θ 33.9, intensity 40, hkl 1 1 1; 2θ 35.9, intensity 60, hkl 0 1 3; 2θ 36.5, intensity 43, hkl 1 0 3; 2θ 50.2, intensity 49, hkl 1 1 4

Crystal structure
abc: 3.811 3.964 9.684
angles: 90.00 90.00 90.00
Space group Pmm2 (No. 25)
Inequivalent atoms, fractional coordinates:
1 Ba 0.000 0.000 0.000
2 Al 0.000 0.000 0.391
3 Cu 0.500 0.500 0.476
4 W 0.500 0.500 0.765
5 O 0.000 0.500 0.436
6 O 0.000 0.500 0.760
7 O 0.500 0.000 0.347
8 O 0.500 0.000 0.784
9 O 0.500 0.500 0.978